1.
Calculated powder diffraction line list
Compound: Rb4Tl3Au2
Radiation: Cu Ka
Structure: a structure optimized by DFT (PBE)
No peak broadening, texture or thermal motion is included.

abc: 9.799 9.799 8.685
angles: 107.16 107.16 27.97
Atoms (fractional coordinates):
Rb 0.079 0.079 0.371
Rb 0.271 0.271 0.818
Rb 0.729 0.729 0.182
Rb 0.921 0.921 0.629
Tl 0.402 0.402 0.262
Tl 0.500 0.500 0.000
Tl 0.598 0.598 0.738
Au 0.090 0.090 0.934
Au 0.910 0.910 0.066

Principal peaks in the range 5 to 70 degrees two-theta, sorted by position:
2θ/deg, Rel. int.
9.76, 95
10.69, 100
16.56, 56
28.04, 52
29.08, 55
30.20, 47
30.32, 29
33.36, 73
36.72, 47
37.99, 40

2.
Calculated powder diffraction line list
Compound: RbTl10Au2
Radiation: Cu Ka
Structure: a structure optimized by DFT (PBE)
No peak broadening, texture or thermal motion is included.

abc: 11.260 9.016 8.113
angles: 82.01 52.46 45.52
Atoms (fractional coordinates):
Rb 0.000 0.000 0.000
Tl 0.000 0.000 0.500
Tl 0.017 0.351 0.649
Tl 0.275 0.486 0.514
Tl 0.351 0.017 0.983
Tl 0.486 0.275 0.725
Tl 0.500 0.500 0.000
Tl 0.514 0.725 0.275
Tl 0.649 0.983 0.017
Tl 0.725 0.514 0.486
Tl 0.983 0.649 0.351
Au 0.000 0.500 0.000
Au 0.500 0.000 0.500

Principal peaks in the range 5 to 70 degrees two-theta, sorted by position:
2θ/deg, Rel. int.
27.73, 45
30.57, 77
32.03, 99
32.33, 100
33.58, 45
35.09, 45
35.29, 73
37.09, 83
37.71, 40
57.28, 54

3.
Calculated powder diffraction line list
Compound: Rb2Tl5Au3
Radiation: Cu Ka
Structure: a structure optimized by DFT (PBE)
No peak broadening, texture or thermal motion is included.

abc: 10.340 10.340 10.340
angles: 114.59 80.89 137.91
Atoms (fractional coordinates):
Rb 0.116 0.235 0.351
Rb 0.384 0.735 0.118
Rb 0.616 0.265 0.882
Rb 0.884 0.765 0.649
Tl 0.021 0.750 0.271
Tl 0.121 0.888 0.008
Tl 0.250 0.750 0.500
Tl 0.379 0.388 0.767
Tl 0.479 0.750 0.729
Tl 0.521 0.250 0.271
Tl 0.621 0.612 0.233
Tl 0.750 0.250 0.500
Tl 0.879 0.112 0.992
Tl 0.979 0.250 0.729
Au 0.116 0.630 0.746
Au 0.250 0.250 0.000
Au 0.384 0.130 0.514
Au 0.616 0.870 0.486
Au 0.750 0.750 0.000
Au 0.884 0.370 0.254

Principal peaks in the range 5 to 70 degrees two-theta, sorted by position:
2θ/deg, Rel. int.
15.86, 44
18.25, 41
27.73, 42
28.87, 43
29.12, 56
33.18, 100
36.97, 20
39.57, 39
40.41, 41
49.08, 21